[1]
For NdGaCo4, the GGA-PBE geometry in the Materials Project gives the simulated powder X-ray diffraction pattern in this record (Cu Kα (λ = 1.5418 Å)).

Cell and atoms:
a b c (Å): 8.727 8.727 4.022
angles (deg): 90.00 90.00 120.00
Positions (direct):
Nd: 0.000 0.000 0.000
Nd: 0.333 0.667 0.000
Nd: 0.667 0.333 0.000
Ga: 0.000 0.500 0.500
Ga: 0.500 0.000 0.500
Ga: 0.500 0.500 0.500
Co: 0.000 0.324 0.000
Co: 0.000 0.676 0.000
Co: 0.160 0.321 0.500
Co: 0.160 0.840 0.500
Co: 0.321 0.160 0.500
Co: 0.324 0.000 0.000
Co: 0.324 0.324 0.000
Co: 0.676 0.000 0.000
Co: 0.676 0.676 0.000
Co: 0.679 0.840 0.500
Co: 0.840 0.160 0.500
Co: 0.840 0.679 0.500

Main lines, by intensity (2θ from 15° to 90°):
| h k l | 2θ/deg | intensity |
| --- | --- | --- |
| 3 0 1 | 42.33 | 100 |
| 1 1 1 | 30.22 | 49 |
| 2 2 0 | 41.39 | 37 |
| 3 0 0 | 35.64 | 30 |
| 0 0 2 | 45.09 | 27 |
| 3 3 1 | 68.61 | 21 |
| 2 2 2 | 62.85 | 21 |
| 6 0 0 | 75.47 | 15 |
| 4 1 1 | 60.69 | 14 |
| 3 0 3 | 81.30 | 14 |

[2]
For NdGaCo4, the GGA-PBE geometry in the Materials Project gives the simulated powder X-ray diffraction pattern in this record (Cu Kα (λ = 1.5418 Å)).

Cell and atoms:
a b c (Å): 5.140 5.140 3.881
angles (deg): 90.00 90.00 120.00
Positions (direct):
Nd: 0.000 0.000 0.000
Ga: 0.333 0.667 0.000
Co: 0.505 0.009 0.500
Co: 0.505 0.495 0.500
Co: 0.667 0.333 0.000
Co: 0.991 0.495 0.500

Main lines, by intensity (2θ from 15° to 90°):
| h k l | 2θ/deg | intensity |
| --- | --- | --- |
| 1 1 1 | 42.17 | 100 |
| 1 0 1 | 30.56 | 41 |
| 1 1 0 | 34.91 | 35 |
| 2 0 0 | 40.53 | 33 |
| 3 0 1 | 67.59 | 24 |
| 0 0 2 | 46.81 | 23 |
| 2 0 2 | 63.61 | 17 |
| 2 2 0 | 73.73 | 16 |
| 1 1 2 | 59.71 | 15 |
| 1 1 3 | 83.69 | 13 |

[3]
For NdGa2Co3, the GGA-PBE geometry in the Materials Project gives the simulated powder X-ray diffraction pattern in this record (Cu Kα (λ = 1.5418 Å)).

Cell and atoms:
a b c (Å): 8.964 8.964 3.979
angles (deg): 90.00 90.00 120.00
Positions (direct):
Nd: 0.000 0.000 0.000
Nd: 0.333 0.667 0.000
Nd: 0.667 0.333 0.000
Ga: 0.174 0.348 0.500
Ga: 0.174 0.826 0.500
Ga: 0.348 0.174 0.500
Ga: 0.652 0.826 0.500
Ga: 0.826 0.174 0.500
Ga: 0.826 0.652 0.500
Co: 0.000 0.344 0.000
Co: 0.000 0.500 0.500
Co: 0.000 0.656 0.000
Co: 0.344 0.000 0.000
Co: 0.344 0.344 0.000
Co: 0.500 0.000 0.500
Co: 0.500 0.500 0.500
Co: 0.656 0.000 0.000
Co: 0.656 0.656 0.000

Main lines, by intensity (2θ from 15° to 90°):
| h k l | 2θ/deg | intensity |
| --- | --- | --- |
| 3 0 1 | 41.63 | 100 |
| 1 1 1 | 30.03 | 49 |
| 2 2 0 | 40.24 | 41 |
| 3 0 0 | 34.67 | 28 |
| 0 0 2 | 45.60 | 25 |
| 2 2 2 | 62.42 | 22 |
| 3 3 1 | 66.90 | 22 |
| 6 0 0 | 73.15 | 16 |
| 4 1 1 | 59.29 | 14 |
| 3 0 3 | 81.55 | 13 |

[4]
For NdGa2Co3, the GGA-PBE geometry in the Materials Project gives the simulated powder X-ray diffraction pattern in this record (Cu Kα (λ = 1.5418 Å)).

Cell and atoms:
a b c (Å): 9.091 9.091 3.849
angles (deg): 90.00 90.00 120.00
Positions (direct):
Nd: 0.000 0.000 0.000
Nd: 0.333 0.667 0.500
Nd: 0.667 0.333 0.500
Ga: 0.000 0.312 0.500
Ga: 0.000 0.688 0.500
Ga: 0.312 0.000 0.500
Ga: 0.312 0.312 0.500
Ga: 0.688 0.000 0.500
Ga: 0.688 0.688 0.500
Co: 0.000 0.500 0.000
Co: 0.182 0.365 0.000
Co: 0.182 0.818 0.000
Co: 0.365 0.182 0.000
Co: 0.500 0.000 0.000
Co: 0.500 0.500 0.000
Co: 0.635 0.818 0.000
Co: 0.818 0.182 0.000
Co: 0.818 0.635 0.000

Main lines, by intensity (2θ from 15° to 90°):
| h k l | 2θ/deg | intensity |
| --- | --- | --- |
| 3 0 1 | 41.65 | 100 |
| 2 1 1 | 38.23 | 68 |
| 3 0 0 | 34.16 | 65 |
| 2 2 0 | 39.65 | 55 |
| 2 0 1 | 32.53 | 44 |
| 2 2 1 | 46.40 | 41 |
| 0 0 2 | 47.23 | 41 |
| 1 0 1 | 25.76 | 28 |
| 3 0 2 | 59.57 | 26 |
| 2 2 2 | 63.32 | 26 |

[5]
For Nd2GaCo2, the GGA-PBE geometry in the Materials Project gives the simulated powder X-ray diffraction pattern in this record (Cu Kα (λ = 1.5418 Å)).

Cell and atoms:
a b c (Å): 4.108 5.518 8.740
angles (deg): 90.00 90.00 90.00
Positions (direct):
Nd: 0.000 0.000 0.206
Nd: 0.000 0.000 0.794
Nd: 0.500 0.500 0.294
Nd: 0.500 0.500 0.706
Ga: 0.000 0.500 0.000
Ga: 0.500 0.000 0.500
Co: 0.000 0.287 0.500
Co: 0.000 0.713 0.500
Co: 0.500 0.213 0.000
Co: 0.500 0.787 0.000

Main lines, by intensity (2θ from 15° to 90°):
| h k l | 2θ/deg | intensity |
| --- | --- | --- |
| 1 1 2 | 34.08 | 100 |
| 1 2 1 | 40.72 | 35 |
| 1 1 0 | 27.06 | 26 |
| 0 1 3 | 34.82 | 26 |
| 1 2 5 | 67.39 | 24 |
| 2 0 0 | 44.08 | 24 |
| 0 2 2 | 38.59 | 23 |
| 1 0 3 | 37.86 | 22 |
| 2 1 3 | 57.34 | 18 |
| 0 2 0 | 32.45 | 15 |

[6]
For Nd3GaCoSe7, the GGA-PBE geometry in the Materials Project gives the simulated powder X-ray diffraction pattern in this record (Cu Kα (λ = 1.5418 Å)).

Cell and atoms:
a b c (Å): 10.298 6.465 10.302
angles (deg): 90.00 119.94 90.00
Positions (direct):
Nd: 0.127 0.000 0.284
Nd: 0.284 0.500 0.657
Nd: 0.343 0.500 0.127
Nd: 0.657 0.000 0.873
Nd: 0.716 0.000 0.343
Nd: 0.873 0.500 0.716
Ga: 0.167 0.920 0.833
Ga: 0.833 0.420 0.167
Co: 0.500 0.312 0.500
Co: 0.500 0.812 0.500
Se: 0.021 0.773 0.585
Se: 0.064 0.772 0.979
Se: 0.167 0.290 0.833
Se: 0.269 0.573 0.368
Se: 0.368 0.073 0.599
Se: 0.401 0.073 0.269
Se: 0.415 0.772 0.936
Se: 0.585 0.272 0.064
Se: 0.599 0.573 0.731
Se: 0.632 0.573 0.401
Se: 0.731 0.073 0.632
Se: 0.833 0.790 0.167
Se: 0.936 0.272 0.021
Se: 0.979 0.273 0.415

Main lines, by intensity (2θ from 15° to 90°):
| h k l | 2θ/deg | intensity |
| --- | --- | --- |
| 2 2 0 | 34.26 | 100 |
| 3 1 0 | 33.16 | 96 |
| 2 0 2 | 34.83 | 94 |
| 2 1 -2 | 24.24 | 86 |
| 3 1 -1 | 29.88 | 80 |
| 2 3 0 | 46.82 | 42 |
| 4 1 -3 | 38.97 | 40 |
| 1 2 2 | 38.58 | 36 |
| 2 2 -1 | 32.71 | 33 |
| 4 1 -4 | 42.89 | 33 |

[7]
For GaCo2Ni, the GGA-PBE geometry in the Materials Project gives the simulated powder X-ray diffraction pattern in this record (Cu Kα (λ = 1.5418 Å)).

Cell and atoms:
a b c (Å): 3.516 3.516 3.749
angles (deg): 90.00 90.00 90.00
Positions (direct):
Ga: 0.000 0.000 0.000
Co: 0.000 0.500 0.500
Co: 0.500 0.000 0.500
Ni: 0.500 0.500 0.000

Main lines, by intensity (2θ from 15° to 90°):
| h k l | 2θ/deg | intensity |
| --- | --- | --- |
| 1 1 1 | 43.69 | 100 |
| 2 0 0 | 52.02 | 29 |
| 2 0 2 | 73.91 | 19 |
| 0 0 2 | 48.57 | 18 |
| 1 1 3 | 87.33 | 12 |
| 2 2 0 | 76.66 | 8 |